Simulated XRD peak list of Sr3MgIrO6 for Cu Ka, from the PBE geometry in Alexandria.
Intensities are scaled so that the largest is 100.

Cell and atoms:
```
data_Sr3MgIrO6
_chemical_formula_sum 'Sr18 Mg6 Ir6 O36'
_cell_length_a 9.7326
_cell_length_b 9.7326
_cell_length_c 11.2157
_cell_angle_alpha 90.00
_cell_angle_beta 90.00
_cell_angle_gamma 120.00
_symmetry_space_group_name_H-M 'R -3 c'
_symmetry_Int_Tables_number 167
_symmetry_space_group_name_Hall '-R 3 2"c'
loop_
_atom_site_label
_atom_site_fract_x
_atom_site_fract_y
_atom_site_fract_z
Sr1 0.0000 0.3640 0.2500
Mg1 0.0000 0.0000 0.2500
Ir1 0.0000 0.0000 0.0000
O1 0.0198 0.1717 0.3847
```

The 8 most intense peaks (2θ from 10° to 90°), in order of rising 2θ:
hkl 1 1 0, 4.866 Å, I 26
hkl 0 1 2, 4.669 Å, I 79
hkl 1 1 3, 2.965 Å, I 53
hkl 3 0 0, 2.810 Å, I 100
hkl 0 2 4, 2.334 Å, I 26
hkl 3 1 2, 2.158 Å, I 33
hkl 2 1 4, 2.105 Å, I 32
hkl 2 2 3, 2.039 Å, I 31



Simulated XRD peak list of VPt6Rh2 for Cu Ka, from the PBE geometry in Alexandria.
Intensities are scaled so that the largest is 100.

Cell and atoms:
```
data_VPt6Rh2
_chemical_formula_sum 'V2 Pt12 Rh4'
_cell_length_a 8.787
_cell_length_b 3.892
_cell_length_c 8.325
_cell_angle_alpha 90.00
_cell_angle_beta 108.42
_cell_angle_gamma 90.00
_symmetry_space_group_name_H-M 'C 1 2/m 1'
_symmetry_Int_Tables_number 12
loop_
_symmetry_equiv_pos_as_xyz
'x,y,z'
'-x,-y,-z'
'-x,y,-z'
'x,-y,z'
'x+1/2,y+1/2,z'
'-x+1/2,-y+1/2,-z'
'-x+1/2,y+1/2,-z'
'x+1/2,-y+1/2,z'
loop_
_atom_site_label
_atom_site_fract_x
_atom_site_fract_y
_atom_site_fract_z
V1 0.000 0.000 0.000
Pt1 0.005 0.000 0.678
Pt2 0.166 0.500 0.553
Pt3 0.169 0.500 0.894
Rh1 0.157 0.500 0.213
```

The 8 most intense peaks (2θ from 10° to 90°), in order of rising 2θ:
hkl 3 1 0, 2.261 Å, I 100
hkl 4 0 -3, 1.964 Å, I 33
hkl 0 2 0, 1.946 Å, I 16
hkl 4 2 -3, 1.382 Å, I 21
hkl 7 1 -3, 1.183 Å, I 25
hkl 3 3 0, 1.175 Å, I 13
hkl 6 2 0, 1.131 Å, I 6
hkl 2 2 -6, 1.130 Å, I 5



Simulated XRD peak list of Y3ErPb5 for Cu Ka, from the PBE geometry in Alexandria.
Intensities are scaled so that the largest is 100.

Cell and atoms:
```
data_Y3ErPb5
_chemical_formula_sum 'Y6 Er2 Pb10'
_cell_length_a 9.5518
_cell_length_b 9.5518
_cell_length_c 6.5264
_cell_angle_alpha 90.00
_cell_angle_beta 90.00
_cell_angle_gamma 120.00
_symmetry_space_group_name_H-M 'P 63/m c m'
_symmetry_Int_Tables_number 193
_symmetry_space_group_name_Hall '-P 6c 2'
loop_
_atom_site_label
_atom_site_fract_x
_atom_site_fract_y
_atom_site_fract_z
Y1 0.0000 0.3817 0.2500
Er1 0.0000 0.0000 0.0000
Pb1 0.0000 0.2862 0.7500
Pb2 0.3333 0.6667 0.0000
```

The 8 most intense peaks (2θ from 10° to 90°), in order of rising 2θ:
hkl 1 1 1, 3.854 Å, I 19
hkl 2 1 1, 2.820 Å, I 32
hkl 3 0 0, 2.757 Å, I 86
hkl 1 1 2, 2.694 Å, I 100
hkl 2 2 2, 1.927 Å, I 32
hkl 4 1 2, 1.579 Å, I 28
hkl 3 0 4, 1.404 Å, I 22
hkl 5 2 2, 1.227 Å, I 15



Simulated XRD peak list of Np2Ga2CoGe4 for Cu Ka, from the PBE geometry in Alexandria.
Intensities are scaled so that the largest is 100.

Cell and atoms:
```
data_Np2Ga2CoGe4
_chemical_formula_sum 'Np4 Ga4 Co2 Ge8'
_cell_length_a 6.196
_cell_length_b 6.196
_cell_length_c 8.459
_cell_angle_alpha 90.00
_cell_angle_beta 90.00
_cell_angle_gamma 90.00
_symmetry_space_group_name_H-M 'I 4/m m m'
_symmetry_Int_Tables_number 139
_symmetry_space_group_name_Hall '-I 4 2'
loop_
_atom_site_label
_atom_site_fract_x
_atom_site_fract_y
_atom_site_fract_z
Np1 0.000 0.500 0.250
Ga1 0.000 0.000 0.220
Co1 0.000 0.000 0.500
Ge1 0.230 0.230 0.000
```

The 8 most intense peaks (2θ from 10° to 90°), in order of rising 2θ:
hkl 1 1 0, 4.381 Å, I 18
hkl 2 0 0, 3.098 Å, I 18
hkl 1 1 2, 3.043 Å, I 38
hkl 2 0 2, 2.499 Å, I 100
hkl 2 2 0, 2.191 Å, I 45
hkl 0 0 4, 2.115 Å, I 20
hkl 2 2 4, 1.521 Å, I 26
hkl 4 2 2, 1.317 Å, I 25



Simulated XRD peak list of Cs3KAu for Cu Ka, from the PBE geometry in Alexandria.
Intensities are scaled so that the largest is 100.

Cell and atoms:
```
data_Cs3KAu
_chemical_formula_sum 'Cs6 K2 Au2'
_cell_length_a 7.2427
_cell_length_b 7.2427
_cell_length_c 14.8840
_cell_angle_alpha 90.00
_cell_angle_beta 90.00
_cell_angle_gamma 120.00
_symmetry_space_group_name_H-M 'P 63/m m c'
_symmetry_Int_Tables_number 194
_symmetry_space_group_name_Hall '-P 6c 2c'
loop_
_atom_site_label
_atom_site_fract_x
_atom_site_fract_y
_atom_site_fract_z
Cs1 0.0000 0.0000 0.2500
Cs2 0.3333 0.6667 0.0602
K1 0.3333 0.6667 0.7500
Au1 0.0000 0.0000 0.0000
```

The 8 most intense peaks (2θ from 10° to 90°), in order of rising 2θ:
hkl 0 0 2, 7.442 Å, I 19
hkl 1 0 0, 6.272 Å, I 27
hkl 1 0 3, 3.891 Å, I 35
hkl 1 1 0, 3.621 Å, I 100
hkl 1 0 4, 3.200 Å, I 33
hkl 1 1 4, 2.595 Å, I 31
hkl 3 0 0, 2.091 Å, I 22
hkl 2 1 4, 1.999 Å, I 18



Simulated XRD peak list of SrHf5N7 for Cu Ka, from the PBE geometry in Alexandria.
Intensities are scaled so that the largest is 100.

Cell and atoms:
```
data_SrHf5N7
_chemical_formula_sum 'Sr4 Hf20 N28'
_cell_length_a 3.199
_cell_length_b 10.716
_cell_length_c 19.692
_cell_angle_alpha 90.00
_cell_angle_beta 90.00
_cell_angle_gamma 90.00
_symmetry_space_group_name_H-M 'C m c m'
_symmetry_Int_Tables_number 63
_symmetry_space_group_name_Hall '-C 2c 2'
loop_
_atom_site_label
_atom_site_fract_x
_atom_site_fract_y
_atom_site_fract_z
Sr1 0.000 0.219 0.250
Hf1 0.000 0.000 0.000
Hf2 0.000 0.261 0.576
Hf3 0.000 0.473 0.154
N1 0.000 0.095 0.101
N2 0.000 0.160 0.663
N3 0.000 0.364 0.032
N4 0.000 0.462 0.750
```

The 8 most intense peaks (2θ from 10° to 90°), in order of rising 2θ:
hkl 1 1 2, 2.927 Å, I 22
hkl 0 2 6, 2.799 Å, I 100
hkl 1 1 3, 2.777 Å, I 41
hkl 0 4 0, 2.679 Å, I 39
hkl 1 1 4, 2.602 Å, I 37
hkl 1 3 2, 2.316 Å, I 28
hkl 1 3 3, 2.239 Å, I 51
hkl 2 2 6, 1.389 Å, I 24



Simulated XRD peak list of Ba2NdPaSe6 for Cu Ka, from the PBE geometry in Alexandria.
Intensities are scaled so that the largest is 100.

Cell and atoms:
```
data_Ba2NdPaSe6
_chemical_formula_sum 'Ba4 Nd2 Pa2 Se12'
_cell_length_a 7.533
_cell_length_b 7.997
_cell_length_c 13.278
_cell_angle_alpha 90.00
_cell_angle_beta 124.53
_cell_angle_gamma 90.00
_symmetry_space_group_name_H-M 'P 1 21/c 1'
_symmetry_Int_Tables_number 14
loop_
_symmetry_equiv_pos_as_xyz
'x,y,z'
'-x,-y,-z'
'-x,y+1/2,-z+1/2'
'x,-y+1/2,z+1/2'
loop_
_atom_site_label
_atom_site_fract_x
_atom_site_fract_y
_atom_site_fract_z
Ba1 0.226 0.076 0.250
Nd1 0.500 0.000 0.000
Pa1 0.000 0.000 0.500
Se1 0.133 0.206 0.947
Se2 0.247 0.691 0.949
Se3 0.342 0.025 0.743
```

The 8 most intense peaks (2θ from 10° to 90°), in order of rising 2θ:
hkl 1 1 -1, 5.480 Å, I 42
hkl 1 1 -3, 3.873 Å, I 100
hkl 2 0 -2, 3.765 Å, I 24
hkl 0 0 4, 2.739 Å, I 98
hkl 1 3 -1, 2.513 Å, I 24
hkl 2 2 -4, 2.449 Å, I 45
hkl 3 1 -5, 2.194 Å, I 54
hkl 2 2 -6, 1.936 Å, I 28



Simulated XRD peak list of NpFeH6Pd for Cu Ka, from the PBE geometry in Alexandria.
Intensities are scaled so that the largest is 100.

Cell and atoms:
```
data_NpFeH6Pd
_chemical_formula_sum 'Np1 Fe1 H6 Pd1'
_cell_length_a 4.5225
_cell_length_b 4.5225
_cell_length_c 4.2382
_cell_angle_alpha 90.00
_cell_angle_beta 90.00
_cell_angle_gamma 120.00
_symmetry_space_group_name_H-M 'P -6 m 2'
_symmetry_Int_Tables_number 187
_symmetry_space_group_name_Hall 'P -6 2'
loop_
_atom_site_label
_atom_site_fract_x
_atom_site_fract_y
_atom_site_fract_z
Np1 0.0000 0.0000 0.0000
Fe1 0.3333 0.6667 0.5000
H1 0.0368 0.5184 0.2260
Pd1 0.6667 0.3333 0.5000
```

The 8 most intense peaks (2θ from 10° to 90°), in order of rising 2θ:
hkl 1 0 0, 3.917 Å, I 23
hkl 1 0 1, 2.876 Å, I 100
hkl 1 1 0, 2.261 Å, I 40
hkl 0 0 2, 2.119 Å, I 11
hkl 2 0 1, 1.778 Å, I 25
hkl 1 1 2, 1.546 Å, I 25
hkl 2 1 1, 1.398 Å, I 23
hkl 1 0 3, 1.329 Å, I 10



Simulated XRD peak list of Tm8Te3AsSe3 for Cu Ka, from the PBE geometry in Alexandria.
Intensities are scaled so that the largest is 100.

Cell and atoms:
```
data_Tm8Te3AsSe3
_chemical_formula_sum 'Tm24 Te9 As3 Se9'
_cell_length_a 8.1785
_cell_length_b 8.1785
_cell_length_c 20.5864
_cell_angle_alpha 90.00
_cell_angle_beta 90.00
_cell_angle_gamma 120.00
_symmetry_space_group_name_H-M 'R -3 m'
_symmetry_Int_Tables_number 166
_symmetry_space_group_name_Hall '-R 3 2"'
loop_
_atom_site_label
_atom_site_fract_x
_atom_site_fract_y
_atom_site_fract_z
Tm1 0.0000 0.0000 0.2375
Tm2 0.0011 0.5005 0.7593
Te1 0.0000 0.5000 0.0000
As1 0.0000 0.0000 0.5000
Se1 0.0000 0.5000 0.5000
```

The 8 most intense peaks (2θ from 10° to 90°), in order of rising 2θ:
hkl 2 0 2, 3.349 Å, I 15
hkl 0 2 4, 2.917 Å, I 100
hkl 2 0 8, 2.082 Å, I 34
hkl 2 2 0, 2.045 Å, I 38
hkl 4 0 4, 1.674 Å, I 19
hkl 2 2 12, 1.314 Å, I 12
hkl 2 4 4, 1.295 Å, I 17
hkl 4 2 8, 1.187 Å, I 11



Simulated XRD peak list of BaTeS3O2 for Cu Ka, from the PBE geometry in Alexandria.
Intensities are scaled so that the largest is 100.

Cell and atoms:
```
data_BaTeS3O2
_chemical_formula_sum 'Ba4 Te4 S12 O8'
_cell_length_a 6.258
_cell_length_b 8.024
_cell_length_c 13.975
_cell_angle_alpha 90.00
_cell_angle_beta 90.00
_cell_angle_gamma 90.00
_symmetry_space_group_name_H-M 'P b c m'
_symmetry_Int_Tables_number 57
loop_
_symmetry_equiv_pos_as_xyz
'x,y,z'
'-x,-y,-z'
'-x,-y,z+1/2'
'x,y,-z+1/2'
'x,-y+1/2,-z'
'-x,y+1/2,z'
'-x,y+1/2,-z+1/2'
'x,-y+1/2,z+1/2'
loop_
_atom_site_label
_atom_site_fract_x
_atom_site_fract_y
_atom_site_fract_z
Ba1 0.137 0.250 0.000
Te1 0.468 0.535 0.250
S1 0.229 0.224 0.250
S2 0.400 0.643 0.610
O1 0.193 0.565 0.562
```

The 8 most intense peaks (2θ from 10° to 90°), in order of rising 2θ:
hkl 1 0 2, 4.662 Å, I 100
hkl 0 0 4, 3.494 Å, I 31
hkl 0 2 2, 3.479 Å, I 46
hkl 1 2 0, 3.380 Å, I 46
hkl 2 1 0, 2.915 Å, I 27
hkl 1 1 4, 2.852 Å, I 45
hkl 1 2 4, 2.428 Å, I 41
hkl 0 2 6, 2.013 Å, I 24



Simulated XRD peak list of Pm5Nd6Th2 for Cu Ka, from the PBE geometry in Alexandria.
Intensities are scaled so that the largest is 100.

Cell and atoms:
```
data_Pm5Nd6Th2
_chemical_formula_sum 'Pm10 Nd12 Th4'
_cell_length_a 11.746
_cell_length_b 21.298
_cell_length_c 3.651
_cell_angle_alpha 90.00
_cell_angle_beta 90.00
_cell_angle_gamma 90.00
_symmetry_space_group_name_H-M 'P b a m'
_symmetry_Int_Tables_number 55
loop_
_symmetry_equiv_pos_as_xyz
'x,y,z'
'-x,-y,-z'
'-x,-y,z'
'x,y,-z'
'x+1/2,-y+1/2,-z'
'-x+1/2,y+1/2,z'
'-x+1/2,y+1/2,-z'
'x+1/2,-y+1/2,z'
loop_
_atom_site_label
_atom_site_fract_x
_atom_site_fract_y
_atom_site_fract_z
Pm1 0.000 0.000 0.000
Pm2 0.063 0.293 0.000
Pm3 0.187 0.582 0.000
Nd1 0.067 0.146 0.500
Nd2 0.083 0.438 0.500
Nd3 0.183 0.875 0.000
Th1 0.191 0.734 0.500
```

The 8 most intense peaks (2θ from 10° to 90°), in order of rising 2θ:
hkl 1 3 1, 3.130 Å, I 25
hkl 2 2 1, 2.977 Å, I 19
hkl 1 7 0, 2.945 Å, I 49
hkl 4 1 0, 2.912 Å, I 100
hkl 2 3 1, 2.842 Å, I 77
hkl 2 4 1, 2.680 Å, I 54
hkl 3 6 0, 2.630 Å, I 20
hkl 4 1 2, 1.546 Å, I 20